# 1
Li7Fe8B8O24: calculated powder XRD pattern (CuKα), based on the GGA+U geometry in the Materials Project.

Principal peaks in the range 2θ = 10–90°, low angle first:
2θ/deg, d/Å, I_rel, (hkl)
19.6, 4.535, 66, 0 2 1
21.6, 4.112, 75, 1 1 2
26.5, 3.364, 32, 1 1 3
34.3, 2.611, 61, -1 3 1
34.9, 2.574, 100, 0 0 4
40.8, 2.213, 35, -2 2 1

Atomic structure:
```
data_Li7Fe8B8O24
_chemical_formula_sum 'Li7 Fe8 B8 O24'
_symmetry_space_group_name_H-M 'P 1'
_symmetry_Int_Tables_number 1
_symmetry_space_group_name_Hall 'P 1'
_cell_length_a 5.229
_cell_length_b 9.066
_cell_length_c 11.473
_cell_angle_alpha 66.99
_cell_angle_beta 78.02
_cell_angle_gamma 89.64
loop_
_atom_site_label
_atom_site_fract_x
_atom_site_fract_y
_atom_site_fract_z
_atom_site_occupancy
Li1 0.000 0.000 0.000 1
Li2 0.055 0.398 0.244 1
Li3 0.250 0.270 0.504 1
Li4 0.499 0.514 0.998 1
Li5 0.554 0.895 0.248 1
Li6 0.742 0.772 0.505 1
Li7 0.817 0.135 0.744 1
Fe1 0.023 0.691 0.962 1
Fe2 0.064 0.067 0.222 1
Fe3 0.267 0.617 0.473 1
Fe4 0.328 0.971 0.715 1
Fe5 0.513 0.199 0.963 1
Fe6 0.575 0.575 0.217 1
Fe7 0.762 0.123 0.465 1
Fe8 0.822 0.498 0.714 1
B1 0.021 0.357 0.968 1
B2 0.071 0.742 0.212 1
B3 0.272 0.952 0.458 1
B4 0.312 0.317 0.716 1
B5 0.515 0.866 0.967 1
B6 0.570 0.246 0.205 1
B7 0.771 0.452 0.461 1
B8 0.822 0.831 0.711 1
O1 0.023 0.961 0.428 1
O2 0.041 0.807 0.763 1
O3 0.128 0.207 0.994 1
O4 0.152 0.480 0.976 1
O5 0.196 0.192 0.702 1
O6 0.209 0.464 0.681 1
O7 0.272 0.885 0.937 1
O8 0.305 0.729 0.251 1
O9 0.365 0.066 0.496 1
O10 0.427 0.834 0.443 1
O11 0.431 0.378 0.196 1
O12 0.476 0.130 0.165 1
O13 0.523 0.458 0.432 1
O14 0.546 0.295 0.766 1
O15 0.622 0.719 0.003 1
O16 0.660 0.003 0.958 1
O17 0.699 0.714 0.691 1
O18 0.725 0.986 0.676 1
O19 0.773 0.373 0.936 1
O20 0.803 0.225 0.248 1
O21 0.861 0.566 0.499 1
O22 0.926 0.331 0.450 1
O23 0.934 0.878 0.195 1
O24 0.969 0.620 0.184 1
```

# 2
MgV4O10: calculated powder XRD pattern (CuKα), based on the GGA+U geometry in the Materials Project.

Principal peaks in the range 2θ = 10–90°, low angle first:
2θ/deg, d/Å, I_rel, (hkl)
24.4, 3.641, 86, 1 -1 0
25.1, 3.544, 100, 1 1 -1
29.8, 3.000, 71, 0 0 2
30.6, 2.921, 93, 1 -1 1
31.1, 2.877, 76, 1 1 -2
34.1, 2.628, 58, 0 2 0

Atomic structure:
```
data_MgV4O10
_chemical_formula_sum 'Mg1 V4 O10'
_symmetry_space_group_name_H-M 'P 1'
_symmetry_Int_Tables_number 1
_symmetry_space_group_name_Hall 'P 1'
_cell_length_a 4.916
_cell_length_b 5.391
_cell_length_c 6.620
_cell_angle_alpha 101.27
_cell_angle_beta 111.67
_cell_angle_gamma 91.65
loop_
_atom_site_label
_atom_site_fract_x
_atom_site_fract_y
_atom_site_fract_z
_atom_site_occupancy
Mg1 0.000 0.000 0.000 1
V1 0.124 0.614 0.242 1
V2 0.320 0.088 0.657 1
V3 0.621 0.126 0.245 1
V4 0.794 0.572 0.642 1
O1 0.042 0.860 0.708 1
O2 0.163 0.347 0.715 1
O3 0.255 0.328 0.161 1
O4 0.382 0.843 0.165 1
O5 0.451 0.705 0.542 1
O6 0.588 0.217 0.549 1
O7 0.599 0.099 0.935 1
O8 0.839 0.468 0.353 1
O9 0.843 0.607 0.927 1
O10 0.999 0.967 0.329 1
```

# 3
CrTeW2O12: calculated powder XRD pattern (CuKα), based on the GGA+U geometry in the Materials Project.

Principal peaks in the range 2θ = 10–90°, low angle first:
2θ/deg, d/Å, I_rel, (hkl)
21.0, 4.222, 12, 1 0 -1
24.1, 3.698, 100, 1 -1 0
33.7, 2.661, 30, 1 1 -2
34.8, 2.575, 14, -1 1 2
42.9, 2.109, 8, 2 0 -2
54.7, 1.678, 16, 2 -2 2

Atomic structure:
```
data_CrTeW2O12
_chemical_formula_sum 'Cr1 Te1 W2 O12'
_symmetry_space_group_name_H-M 'P 1'
_symmetry_Int_Tables_number 1
_symmetry_space_group_name_Hall 'P 1'
_cell_length_a 5.132
_cell_length_b 5.333
_cell_length_c 7.415
_cell_angle_alpha 92.69
_cell_angle_beta 90.04
_cell_angle_gamma 90.15
loop_
_atom_site_label
_atom_site_fract_x
_atom_site_fract_y
_atom_site_fract_z
_atom_site_occupancy
Cr1 0.000 0.000 0.000 1
Te1 0.498 0.441 0.536 1
W1 0.509 0.498 0.035 1
W2 0.986 0.942 0.501 1
O1 0.100 0.954 0.789 1
O2 0.191 0.236 0.076 1
O3 0.197 0.642 0.484 1
O4 0.293 0.755 0.081 1
O5 0.299 0.141 0.479 1
O6 0.392 0.435 0.785 1
O7 0.597 0.435 0.283 1
O8 0.695 0.744 0.587 1
O9 0.715 0.144 0.976 1
O10 0.802 0.242 0.587 1
O11 0.807 0.658 0.983 1
O12 0.892 0.943 0.271 1
```

Number 1 is which compound? Li7Fe8B8O24